Computed powder diffractogram of Na3Au for a wavelength of 1.5418 Å, from the PBE geometry in the Materials Project.

Most intense lines, 2θ from 10° to 90°, sorted by position:
- 2θ = 20.9°, d = 4.247 Å, intensity 91.7
- 2θ = 24.2°, d = 3.678 Å, intensity 49.0
- 2θ = 34.5°, d = 2.601 Å, intensity 100.0
- 2θ = 40.7°, d = 2.218 Å, intensity 52.4
- 2θ = 49.6°, d = 1.839 Å, intensity 17.8
- 2θ = 54.4°, d = 1.687 Å, intensity 23.0
- 2θ = 55.9°, d = 1.645 Å, intensity 21.2
- 2θ = 61.8°, d = 1.501 Å, intensity 36.2
- 2θ = 66.0°, d = 1.416 Å, intensity 17.5
- 2θ = 76.6°, d = 1.243 Å, intensity 17.7

Structural model:
```
4
Lattice="0.0000 3.6778 3.6778 3.6778 0.0000 3.6778 3.6778 3.6778 0.0000" Properties=species:S:1:pos:R:3 pbc="T T T"
Na 0.0000 0.0000 0.0000
Na 1.8389 1.8389 1.8389
Na 5.5167 5.5167 5.5167
Au 3.6778 3.6778 3.6778
```

***

Computed powder diffractogram of Pr4MgCo for a wavelength of 1.5418 Å, from the PBE geometry in the Materials Project.

Most intense lines, 2θ from 10° to 90°, sorted by position:
- 2θ = 10.8°, d = 8.207 Å, intensity 16.1
- 2θ = 27.3°, d = 3.261 Å, intensity 54.5
- 2θ = 30.8°, d = 2.902 Å, intensity 64.2
- 2θ = 32.7°, d = 2.736 Å, intensity 100.0
- 2θ = 35.7°, d = 2.513 Å, intensity 31.8
- 2θ = 52.7°, d = 1.737 Å, intensity 19.8
- 2θ = 54.8°, d = 1.675 Å, intensity 58.9
- 2θ = 56.0°, d = 1.641 Å, intensity 14.9
- 2θ = 82.2°, d = 1.172 Å, intensity 16.9
- 2θ = 83.9°, d = 1.153 Å, intensity 17.1

Structural model:
```
24
Lattice="0.0000 7.1074 7.1074 7.1074 0.0000 7.1074 7.1074 7.1074 0.0000" Properties=species:S:1:pos:R:3 pbc="T T T"
Pr 7.1074 7.1074 2.6756
Pr 7.1074 2.6756 7.1074
Pr 11.5393 7.1074 7.1074
Pr 4.9048 4.9048 4.9048
Pr 9.3101 9.3101 4.9048
Pr 9.3101 4.9048 9.3101
Pr 10.6611 10.6611 7.9779
Pr 10.6611 7.9779 10.6611
Pr 13.3444 10.6611 10.6611
Pr 2.6756 7.1074 7.1074
Pr 7.1074 11.5393 7.1074
Pr 7.1074 7.1074 11.5393
Pr 7.9779 10.6611 10.6611
Pr 10.6611 13.3444 10.6611
Pr 10.6611 10.6611 13.3444
Pr 4.9048 9.3101 9.3101
Mg 8.2255 5.9893 5.9893
Mg 5.9893 8.2255 5.9893
Mg 5.9893 5.9893 8.2255
Mg 8.2255 8.2255 8.2255
Co 1.9977 1.9977 1.9977
Co 5.1097 5.1097 1.9977
Co 5.1097 1.9977 5.1097
Co 1.9977 5.1097 5.1097
```

***

Computed powder diffractogram of MoW3Se2S6 for a wavelength of 1.5418 Å, from the PBE geometry in the Materials Project.

Most intense lines, 2θ from 10° to 90°, sorted by position:
- 2θ = 12.2°, d = 7.279 Å, intensity 100.0
- 2θ = 14.6°, d = 6.066 Å, intensity 26.2
- 2θ = 32.1°, d = 2.792 Å, intensity 18.3
- 2θ = 32.9°, d = 2.721 Å, intensity 14.7
- 2θ = 34.4°, d = 2.607 Å, intensity 13.5
- 2θ = 37.8°, d = 2.379 Å, intensity 51.9
- 2θ = 45.9°, d = 1.977 Å, intensity 30.7
- 2θ = 47.8°, d = 1.903 Å, intensity 12.5
- 2θ = 57.2°, d = 1.611 Å, intensity 18.0
- 2θ = 58.7°, d = 1.574 Å, intensity 10.7

Structural model:
```
12
Lattice="3.2235 0.0000 0.0000 -1.6118 2.7917 0.0000 0.0000 0.0000 36.3970" Properties=species:S:1:pos:R:3 pbc="T T T"
Mo 0.0000 0.0000 0.0000
W 0.0000 0.0000 13.6763
W 0.0000 1.8611 6.8391
W 0.0000 1.8611 20.5141
Se 0.0000 0.0000 5.1178
Se 0.0000 0.0000 8.5580
S 0.0000 0.0000 18.9539
S 0.0000 0.0000 22.0749
S 0.0000 1.8611 1.5527
S 0.0000 1.8611 12.1176
S 0.0000 1.8611 15.2359
S 0.0000 1.8611 34.8435
```